# CoPO4
Computed X-ray powder pattern, a wavelength of 1.5418 Å. Input: a structure optimized by DFT (GGA+U).
Lines closer than 0.1° are merged.

Principal peaks in the range 2θ = 15–90°, by angle:
d = 4.124 Å, I = 100, (2 0 1)
d = 4.067 Å, I = 99, (0 1 1)
d = 3.790 Å, I = 18, (1 1 1)
d = 3.209 Å, I = 15, (2 1 1)
d = 2.825 Å, I = 21, (2 0 2)
d = 2.710 Å, I = 13, (1 1 2)
d = 2.613 Å, I = 20, (4 0 0)
d = 2.555 Å, I = 22, (0 2 0)
d = 2.472 Å, I = 13, (2 1 2)
d = 1.546 Å, I = 10, (6 0 2)

Unit cell a=10.4500 b=5.1095 c=6.7168 alpha=90.00 beta=90.00 gamma=90.00
Space group Pna2_1 (No. 33)
Asymmetric unit:
Co (0.1576, 0.1851, 0.0000) x4
P (0.0950, 0.6864, 0.2540) x4
O (0.0477, 0.2517, 0.7899) x4
O (0.1113, 0.3890, 0.2178) x4
O (0.1422, 0.8334, 0.0665) x4
O (0.1728, 0.7632, 0.4418) x4